No. 1
Computed X-ray powder pattern
Compound: PmY3Er2Se6
Radiation: a wavelength of 1.5418 Å
Structure: a cell relaxed with PBE
Lines closer than 0.1° are merged.

Principal peaks in the range 5° ≤ 2θ ≤ 70°, by angle:
2θ = 13.26°, intensity 6.3, hkl 0 0 1; 2θ = 26.68°, intensity 4.7, hkl 1 3 -1; 2θ = 26.74°, intensity 4.7, hkl 2 0 0; 2θ = 30.93°, intensity 100.0, hkl 2 0 -2; 2θ = 44.25°, intensity 36.7, hkl 1 3 -3; 2θ = 44.37°, intensity 36.4, hkl 2 0 2; 2θ = 54.95°, intensity 12.6, hkl 2 6 -2; 2θ = 55.00°, intensity 6.5, hkl 0 0 4; 2θ = 55.17°, intensity 6.3, hkl 4 0 0; 2θ = 64.41°, intensity 7.7, hkl 2 6 2

Structural model:
a = 7.0620 Å, b = 12.2940 Å, c = 7.0827 Å
α = 90.00°, β = 109.44°, γ = 90.00°
Space group C2/m (No. 12)
Symmetry-distinct sites (fractional):
Pm1 0.0000 0.0000 0.0000 [2 per cell]
Y1 0.0000 0.1591 0.5000 [4 per cell]
Y2 0.0000 0.5000 0.5000 [2 per cell]
Er1 0.0000 0.3348 0.0000 [4 per cell]
Se1 0.2390 0.5000 0.2464 [4 per cell]
Se2 0.2446 0.3278 0.7483 [8 per cell]

=====

No. 2
Computed X-ray powder pattern
Compound: LiPm8Tl6
Radiation: a wavelength of 1.5418 Å
Structure: a cell relaxed with PBE
Lines closer than 0.1° are merged.

Principal peaks in the range 5° ≤ 2θ ≤ 70°, by angle:
2θ = 13.49°, intensity 9.0, hkl 0 0 3; 2θ = 19.22°, intensity 34.9, hkl 1 1 0; 2θ = 23.56°, intensity 8.8, hkl 2 -1 3; 2θ = 33.50°, intensity 100.0, hkl 2 -1 6; 2θ = 33.62°, intensity 90.2, hkl 3 0 0; 2θ = 39.02°, intensity 5.7, hkl 2 2 0; 2θ = 43.75°, intensity 9.3, hkl 3 0 6; 2θ = 48.19°, intensity 35.8, hkl 2 2 6; 2θ = 59.81°, intensity 19.6, hkl 1 1 12; 2θ = 60.07°, intensity 53.4, hkl 5 -1 6

Structural model:
a = 9.2342 Å, b = 9.2342 Å, c = 19.6915 Å
α = 90.00°, β = 90.00°, γ = 120.00°
Space group R-3 (No. 148, hexagonal axes)
Symmetry-distinct sites (fractional):
Li1 0.0000 0.0000 0.0000 [3 per cell]
Pm1 0.0000 0.0000 0.3362 [6 per cell]
Pm2 0.0019 0.6768 0.1110 [18 per cell]
Tl1 0.0028 0.6770 0.9436 [18 per cell]

=====

No. 3
Computed X-ray powder pattern
Compound: MnReRu2
Radiation: a wavelength of 1.5418 Å
Structure: a cell relaxed with PBE
Lines closer than 0.1° are merged.

Principal peaks in the range 5° ≤ 2θ ≤ 70°, by angle:
2θ = 23.30°, intensity 8.8, hkl 0 0 2; 2θ = 26.27°, intensity 14.0, hkl 1 0 1; 2θ = 33.47°, intensity 7.2, hkl 1 1 0; 2θ = 41.18°, intensity 100.0, hkl 1 1 2; 2θ = 42.81°, intensity 4.0, hkl 1 0 3; 2θ = 47.64°, intensity 16.3, hkl 0 0 4; 2θ = 48.06°, intensity 31.8, hkl 2 0 0; 2θ = 54.07°, intensity 4.0, hkl 2 0 2; 2θ = 55.60°, intensity 3.9, hkl 2 1 1; 2θ = 69.99°, intensity 20.3, hkl 2 0 4

Structural model:
a = 3.7861 Å, b = 3.7861 Å, c = 7.6358 Å
α = 90.00°, β = 90.00°, γ = 90.00°
Space group I-4m2 (No. 119)
Symmetry-distinct sites (fractional):
Mn1 0.0000 0.0000 0.0000 [2 per cell]
Re1 0.0000 0.5000 0.7500 [2 per cell]
Ru1 0.0000 0.0000 0.5000 [2 per cell]
Ru2 0.0000 0.5000 0.2500 [2 per cell]

=====

No. 4
Computed X-ray powder pattern
Compound: Sm3Tm2ThTe6
Radiation: a wavelength of 1.5418 Å
Structure: a cell relaxed with PBE
Lines closer than 0.1° are merged.

Principal peaks in the range 5° ≤ 2θ ≤ 70°, by angle:
2θ = 28.59°, intensity 48.5, hkl 6 0 0; 2θ = 28.73°, intensity 100.0, hkl 1 1 -2; 2θ = 39.95°, intensity 38.7, hkl 5 1 2; 2θ = 40.11°, intensity 19.2, hkl 2 0 -4; 2θ = 42.01°, intensity 51.7, hkl 0 2 0; 2θ = 48.21°, intensity 10.8, hkl 4 0 4; 2θ = 51.66°, intensity 27.2, hkl 6 2 0; 2θ = 59.50°, intensity 12.2, hkl 2 2 -4; 2θ = 65.86°, intensity 8.5, hkl 4 2 4; 2θ = 68.77°, intensity 15.4, hkl 1 3 -2

Structural model:
a = 19.0037 Å, b = 4.2982 Å, c = 9.0151 Å
α = 90.00°, β = 99.71°, γ = 90.00°
Space group C2/m (No. 12)
Symmetry-distinct sites (fractional):
Sm1 0.0000 0.0000 0.0000 [2 per cell]
Sm2 0.1524 0.5000 0.3449 [4 per cell]
Tm1 0.1667 0.5000 0.8414 [4 per cell]
Th1 0.0000 0.0000 0.5000 [2 per cell]
Te1 0.0098 0.5000 0.7595 [4 per cell]
Te2 0.1696 0.0000 0.0880 [4 per cell]
Te3 0.1744 0.0000 0.6058 [4 per cell]